Structure and calculated powder diffractogram of Hg3Bi2S2Cl8 (the GGA-PBE geometry in Alexandria; Cu Kα (λ = 1.5418 Å)).
No peak broadening, texture or thermal motion is included.

Crystal structure
abc: 7.6239 7.6239 9.5385
angles: 113.40 113.40 59.66
Sites, in units of the cell vectors:
Hg (0.0000, 0.0000, 0.0000)
Hg (0.0000, 0.5000, 0.0000)
Hg (0.5000, 0.0000, 0.0000)
Bi (0.3705, 0.3705, 0.5698)
Bi (0.6295, 0.6295, 0.4302)
S (0.1243, 0.1243, 0.8761)
S (0.8757, 0.8757, 0.1239)
Cl (0.0383, 0.5722, 0.7071)
Cl (0.2649, 0.7351, 0.5000)
Cl (0.4278, 0.9617, 0.2929)
Cl (0.4518, 0.4518, 0.1500)
Cl (0.5482, 0.5482, 0.8500)
Cl (0.5722, 0.0383, 0.7071)
Cl (0.7351, 0.2649, 0.5000)
Cl (0.9617, 0.4278, 0.2929)

Peak list (12 most intense, 2θ from 10° to 90°, by angle)
| Position (°2θ) | intensity |
| --- | --- |
| 15.18 | 37.8 |
| 19.39 | 100.0 |
| 20.95 | 53.0 |
| 25.64 | 60.2 |
| 27.34 | 45.2 |
| 27.98 | 47.4 |
| 32.37 | 43.4 |
| 36.65 | 25.9 |
| 36.90 | 53.6 |
| 37.90 | 21.6 |
| 38.77 | 32.3 |
| 39.37 | 32.3 |